Theoretical X-ray diffraction stick pattern
Compound: NdI3
Radiation: Cu Kα (weighted mean of Kα1 and Kα2)
Structure: a structure optimized by DFT (GGA-PBE)
Lines closer than 0.1° are merged.

Structure:
```
NdI3
1.0
14.782 0.000 0.000
0.000 4.214 0.000
0.000 0.000 10.989
Nd I
4 12
Direct
0.230 0.250 0.057
0.270 0.750 0.557
0.730 0.250 0.443
0.770 0.750 0.943
0.114 0.250 0.559
0.132 0.750 0.885
0.144 0.750 0.242
0.356 0.250 0.742
0.368 0.250 0.385
0.386 0.750 0.059
0.614 0.250 0.941
0.632 0.750 0.615
0.644 0.750 0.258
0.856 0.250 0.758
0.868 0.250 0.115
0.886 0.750 0.441
```

Largest 10 diffraction maxima, low angle first, 10° ≤ 2θ ≤ 90°:
hkl 2 0 0, 2θ 12.0, d 7.391, I 61.6; hkl 2 0 3, 2θ 27.2, d 3.282, I 64.0; hkl 1 1 2, 2θ 27.3, d 3.261, I 31.9; hkl 3 1 1, 2θ 29.0, d 3.074, I 100.0; hkl 2 1 2, 2θ 29.3, d 3.047, I 57.9; hkl 0 1 3, 2θ 32.4, d 2.766, I 50.9; hkl 5 1 1, 2θ 38.1, d 2.364, I 33.3; hkl 0 2 0, 2θ 42.9, d 2.107, I 28.8; hkl 6 0 3, 2θ 44.3, d 2.044, I 26.7; hkl 4 1 5, 2θ 53.1, d 1.724, I 34.8